[1]
Structure and computed PXRD pattern of Zr2SnGePt2 (a structure optimized by DFT (GGA-PBE); Cu Kα, 1.54184 Å).
Kinematic intensities with the Lorentz-polarization factor, no thermal factor.

Principal peaks in the range 2θ = 5–70°, low angle first:
| d (Å) | two_theta | intensity |
| --- | --- | --- |
| 3.645 | 24.42 | 62 |
| 2.232 | 40.41 | 100 |
| 1.904 | 47.78 | 31 |
| 1.578 | 58.47 | 17 |
| 1.448 | 64.31 | 13 |

Atomic structure:
```
Zr2SnGePt2
1.0
10.936 0.000 0.000
0.000 4.464 0.000
-3.648 0.000 10.311
Zr Sn Ge Pt
8 4 4 8
Direct
0.000 0.000 0.000 Zr
0.120 0.500 0.374 Zr
0.243 0.000 0.745 Zr
0.375 0.500 0.132 Zr
0.500 0.000 0.499 Zr
0.625 0.500 0.870 Zr
0.748 0.000 0.255 Zr
0.870 0.500 0.622 Zr
0.122 0.500 0.875 Sn
0.372 0.500 0.623 Sn
0.498 0.000 0.000 Sn
0.872 0.500 0.125 Sn
0.248 0.000 0.251 Ge
0.623 0.500 0.376 Ge
0.748 0.000 0.748 Ge
0.996 0.000 0.499 Ge
0.128 0.500 0.130 Pt
0.243 0.000 0.494 Pt
0.372 0.500 0.874 Pt
0.499 0.000 0.256 Pt
0.626 0.500 0.623 Pt
0.749 0.000 0.995 Pt
0.872 0.500 0.378 Pt
0.992 0.000 0.744 Pt
```

---

[2]
Structure and computed PXRD pattern of Tb3Ge13Pt4 (a structure optimized by DFT (GGA-PBE); Cu Kα, 1.54184 Å).
Kinematic intensities with the Lorentz-polarization factor, no thermal factor.

Principal peaks in the range 2θ = 5–70°, low angle first:
| d (Å) | two_theta | intensity |
| --- | --- | --- |
| 4.576 | 19.40 | 23 |
| 4.547 | 19.52 | 42 |
| 3.217 | 27.73 | 31 |
| 2.640 | 33.96 | 28 |
| 2.628 | 34.12 | 100 |
| 2.535 | 35.41 | 44 |
| 2.526 | 35.55 | 63 |
| 2.288 | 39.38 | 32 |
| 2.273 | 39.65 | 62 |
| 2.033 | 44.56 | 31 |
| 1.863 | 48.90 | 38 |
| 1.856 | 49.07 | 47 |

Atomic structure:
```
Tb3Ge13Pt4
1.0
6.438 -6.422 0.000
6.438 6.422 0.000
-0.050 0.000 9.152
Tb Ge Pt
6 26 8
Direct
0.000 0.000 0.000 Tb
0.000 0.000 0.500 Tb
0.251 0.502 0.245 Tb
0.502 0.251 0.745 Tb
0.502 0.746 0.746 Tb
0.746 0.502 0.246 Tb
0.003 0.612 0.474 Ge
0.112 0.255 0.745 Ge
0.117 0.773 0.747 Ge
0.154 0.837 0.248 Ge
0.255 0.112 0.245 Ge
0.318 0.497 0.608 Ge
0.328 0.998 0.890 Ge
0.333 0.999 0.597 Ge
0.347 0.499 0.912 Ge
0.497 0.318 0.108 Ge
0.497 0.740 0.137 Ge
0.499 0.347 0.412 Ge
0.503 0.653 0.414 Ge
0.506 0.996 0.247 Ge
0.609 0.997 0.508 Ge
0.612 0.003 0.974 Ge
0.653 0.503 0.914 Ge
0.740 0.497 0.637 Ge
0.773 0.117 0.247 Ge
0.827 0.857 0.751 Ge
0.837 0.154 0.748 Ge
0.857 0.827 0.251 Ge
0.996 0.506 0.747 Ge
0.997 0.609 0.008 Ge
0.998 0.328 0.390 Ge
0.999 0.333 0.097 Ge
0.245 0.246 0.493 Pt
0.246 0.245 0.993 Pt
0.249 0.747 0.999 Pt
0.250 0.749 0.497 Pt
0.747 0.249 0.499 Pt
0.749 0.250 0.997 Pt
0.750 0.752 0.002 Pt
0.752 0.750 0.502 Pt
```

---

[3]
Structure and computed PXRD pattern of Tb2Ge3Pt9 (a structure optimized by DFT (GGA-PBE); Cu Kα, 1.54184 Å).
Kinematic intensities with the Lorentz-polarization factor, no thermal factor.

Principal peaks in the range 2θ = 5–70°, low angle first:
| d (Å) | two_theta | intensity |
| --- | --- | --- |
| 2.560 | 35.05 | 17 |
| 2.553 | 35.14 | 15 |
| 2.515 | 35.71 | 18 |
| 2.402 | 37.44 | 26 |
| 2.392 | 37.60 | 78 |
| 2.389 | 37.65 | 78 |
| 2.380 | 37.80 | 77 |
| 2.324 | 38.75 | 22 |
| 2.267 | 39.76 | 100 |
| 2.258 | 39.93 | 58 |
| 1.958 | 46.37 | 28 |
| 1.504 | 61.66 | 17 |

Atomic structure:
```
Tb2Ge3Pt9
1.0
6.775 -3.932 0.000
6.775 3.932 0.000
-4.571 0.000 9.025
Tb Ge Pt
4 6 18
Direct
0.084 0.255 0.251 Tb
0.255 0.084 0.751 Tb
0.745 0.916 0.249 Tb
0.916 0.745 0.749 Tb
0.000 0.500 0.000 Ge
0.139 0.682 0.502 Ge
0.318 0.861 0.998 Ge
0.500 0.000 0.500 Ge
0.682 0.139 0.002 Ge
0.861 0.318 0.498 Ge
0.022 0.859 0.079 Pt
0.141 0.978 0.421 Pt
0.195 0.360 0.580 Pt
0.205 0.585 0.258 Pt
0.298 0.478 0.924 Pt
0.360 0.195 0.080 Pt
0.366 0.634 0.750 Pt
0.415 0.795 0.242 Pt
0.478 0.298 0.424 Pt
0.522 0.702 0.576 Pt
0.585 0.205 0.758 Pt
0.634 0.366 0.250 Pt
0.640 0.805 0.920 Pt
0.702 0.522 0.076 Pt
0.795 0.415 0.742 Pt
0.805 0.640 0.420 Pt
0.859 0.022 0.579 Pt
0.978 0.141 0.921 Pt
```

---

[4]
Structure and computed PXRD pattern of TbGePt2 (a structure optimized by DFT (GGA-PBE); Cu Kα, 1.54184 Å).
Kinematic intensities with the Lorentz-polarization factor, no thermal factor.

Principal peaks in the range 2θ = 5–70°, low angle first:
| d (Å) | two_theta | intensity |
| --- | --- | --- |
| 4.439 | 20.00 | 26 |
| 3.341 | 26.68 | 32 |
| 2.675 | 33.50 | 100 |
| 2.649 | 33.83 | 49 |
| 2.423 | 37.10 | 65 |
| 2.349 | 38.33 | 28 |
| 2.228 | 40.49 | 77 |
| 2.219 | 40.65 | 23 |
| 2.058 | 43.99 | 47 |
| 1.920 | 47.34 | 35 |
| 1.682 | 54.58 | 23 |
| 1.625 | 56.63 | 23 |

Atomic structure:
```
TbGePt2
1.0
4.117 0.000 0.000
0.000 5.719 0.000
0.000 0.000 7.039
Tb Ge Pt
2 2 4
Direct
0.000 0.178 0.000 Tb
0.000 0.822 0.500 Tb
0.500 0.333 0.393 Ge
0.500 0.667 0.893 Ge
0.000 0.348 0.597 Pt
0.000 0.652 0.097 Pt
0.500 0.052 0.727 Pt
0.500 0.948 0.227 Pt
```

---

[5]
Structure and computed PXRD pattern of TbTm2Ge4Pt4 (a structure optimized by DFT (GGA-PBE); Cu Kα, 1.54184 Å).
Kinematic intensities with the Lorentz-polarization factor, no thermal factor.

Principal peaks in the range 2θ = 5–70°, low angle first:
| d (Å) | two_theta | intensity |
| --- | --- | --- |
| 6.927 | 12.78 | 27 |
| 3.088 | 28.91 | 22 |
| 2.653 | 33.79 | 100 |
| 2.582 | 34.74 | 25 |
| 2.492 | 36.04 | 67 |
| 2.333 | 38.60 | 50 |
| 2.307 | 39.04 | 44 |
| 2.110 | 42.85 | 41 |
| 2.077 | 43.57 | 45 |
| 1.936 | 46.94 | 32 |
| 1.544 | 59.90 | 14 |
| 1.480 | 62.77 | 27 |

Atomic structure:
```
TbTm2Ge4Pt4
1.0
-2.077 3.559 6.927
2.077 -3.559 6.927
2.077 3.559 -6.927
Tb Tm Ge Pt
1 2 4 4
Direct
0.000 0.000 0.000 Tb
0.375 0.875 0.500 Tm
0.625 0.125 0.500 Tm
0.219 0.219 0.000 Ge
0.315 0.500 0.815 Ge
0.685 0.500 0.185 Ge
0.781 0.781 0.000 Ge
0.030 0.326 0.704 Pt
0.378 0.674 0.704 Pt
0.622 0.326 0.296 Pt
0.970 0.674 0.296 Pt
```

---

[6]
Structure and computed PXRD pattern of TbYGe2Pt (a structure optimized by DFT (GGA-PBE); Cu Kα, 1.54184 Å).
Kinematic intensities with the Lorentz-polarization factor, no thermal factor.

Principal peaks in the range 2θ = 5–70°, low angle first:
| d (Å) | two_theta | intensity |
| --- | --- | --- |
| 9.222 | 9.59 | 69 |
| 3.913 | 22.73 | 19 |
| 3.074 | 29.05 | 21 |
| 2.746 | 32.61 | 68 |
| 2.692 | 33.29 | 49 |
| 2.683 | 33.40 | 48 |
| 2.626 | 34.15 | 22 |
| 2.457 | 36.57 | 48 |
| 2.236 | 40.33 | 100 |
| 2.176 | 41.49 | 55 |
| 1.558 | 59.30 | 23 |
| 1.420 | 65.77 | 22 |

Atomic structure:
```
TbYGe2Pt
1.0
5.259 -2.176 0.000
5.259 2.176 0.000
-4.777 0.000 9.222
Tb Y Ge Pt
2 2 4 2
Direct
0.009 0.009 0.328 Tb
0.991 0.991 0.672 Tb
0.187 0.187 0.111 Y
0.813 0.813 0.889 Y
0.356 0.356 0.443 Ge
0.474 0.474 0.113 Ge
0.526 0.526 0.887 Ge
0.644 0.644 0.557 Ge
0.275 0.275 0.663 Pt
0.725 0.725 0.337 Pt
```

---

[7]
Structure and computed PXRD pattern of TbY2Ge4Pt4 (a structure optimized by DFT (GGA-PBE); Cu Kα, 1.54184 Å).
Kinematic intensities with the Lorentz-polarization factor, no thermal factor.

Principal peaks in the range 2θ = 5–70°, low angle first:
| d (Å) | two_theta | intensity |
| --- | --- | --- |
| 6.958 | 12.72 | 36 |
| 3.114 | 28.67 | 44 |
| 2.671 | 33.56 | 100 |
| 2.593 | 34.59 | 23 |
| 2.509 | 35.79 | 55 |
| 2.347 | 38.35 | 46 |
| 2.320 | 38.82 | 50 |
| 2.119 | 42.68 | 44 |
| 2.100 | 43.07 | 49 |
| 1.946 | 46.69 | 53 |
| 1.557 | 59.37 | 19 |
| 1.492 | 62.24 | 29 |

Atomic structure:
```
TbY2Ge4Pt4
1.0
-2.100 3.572 6.958
2.100 -3.572 6.958
2.100 3.572 -6.958
Tb Y Ge Pt
1 2 4 4
Direct
0.000 0.000 0.000 Tb
0.375 0.875 0.500 Y
0.625 0.125 0.500 Y
0.219 0.219 0.000 Ge
0.312 0.500 0.812 Ge
0.688 0.500 0.188 Ge
0.781 0.781 0.000 Ge
0.028 0.326 0.703 Pt
0.377 0.674 0.703 Pt
0.623 0.326 0.297 Pt
0.972 0.674 0.297 Pt
```

---

[8]
Structure and computed PXRD pattern of ThGe12Pt4 (a structure optimized by DFT (GGA-PBE); Cu Kα, 1.54184 Å).
Kinematic intensities with the Lorentz-polarization factor, no thermal factor.

Principal peaks in the range 2θ = 5–70°, low angle first:
| d (Å) | two_theta | intensity |
| --- | --- | --- |
| 6.147 | 14.41 | 8 |
| 4.346 | 20.43 | 29 |
| 3.073 | 29.05 | 100 |
| 2.749 | 32.57 | 78 |
| 2.509 | 35.78 | 12 |
| 2.323 | 38.76 | 45 |
| 2.173 | 41.56 | 17 |
| 1.944 | 46.73 | 51 |
| 1.774 | 51.50 | 80 |
| 1.705 | 53.77 | 36 |
| 1.537 | 60.22 | 9 |
| 1.374 | 68.24 | 29 |

Atomic structure:
```
ThGe12Pt4
1.0
-4.346 4.346 4.346
4.346 -4.346 4.346
4.346 4.346 -4.346
Th Ge Pt
1 12 4
Direct
0.000 0.000 0.000 Th
0.150 0.505 0.354 Ge
0.150 0.796 0.646 Ge
0.204 0.354 0.850 Ge
0.354 0.150 0.505 Ge
0.354 0.850 0.204 Ge
0.495 0.646 0.850 Ge
0.505 0.354 0.150 Ge
0.646 0.150 0.796 Ge
0.646 0.850 0.495 Ge
0.796 0.646 0.150 Ge
0.850 0.204 0.354 Ge
0.850 0.495 0.646 Ge
0.000 0.000 0.500 Pt
0.000 0.500 0.000 Pt
0.500 0.000 0.000 Pt
0.500 0.500 0.500 Pt
```

---

[9]
Structure and computed PXRD pattern of Rb4PuGeSe6 (a structure optimized by DFT (GGA-PBE); Cu Kα, 1.54184 Å).
Kinematic intensities with the Lorentz-polarization factor, no thermal factor.

Principal peaks in the range 2θ = 5–70°, low angle first:
| d (Å) | two_theta | intensity |
| --- | --- | --- |
| 7.322 | 12.09 | 51 |
| 6.320 | 14.01 | 22 |
| 6.008 | 14.74 | 70 |
| 3.858 | 23.05 | 27 |
| 3.671 | 24.24 | 100 |
| 3.549 | 25.09 | 76 |
| 3.497 | 25.47 | 55 |
| 2.813 | 31.81 | 26 |
| 2.767 | 32.35 | 22 |
| 2.345 | 38.38 | 23 |
| 2.266 | 39.78 | 42 |
| 1.837 | 49.62 | 36 |

Atomic structure:
```
Rb4PuGeSe6
1.0
7.347 0.000 0.000
3.583 7.394 0.000
3.513 1.203 8.583
Rb Pu Ge Se
4 1 1 6
Direct
0.000 0.000 0.000 Rb
0.176 0.400 0.245 Rb
0.406 0.750 0.448 Rb
0.767 0.634 0.815 Rb
0.703 0.146 0.451 Pu
0.459 0.259 0.816 Ge
0.281 0.567 0.849 Se
0.306 0.197 0.650 Se
0.471 0.028 0.030 Se
0.696 0.401 0.202 Se
0.827 0.221 0.658 Se
0.908 0.799 0.401 Se
```

---

[10]
Structure and computed PXRD pattern of PuGeTe3Se (a structure optimized by DFT (GGA-PBE); Cu Kα, 1.54184 Å).
Kinematic intensities with the Lorentz-polarization factor, no thermal factor.

Principal peaks in the range 2θ = 5–70°, low angle first:
| d (Å) | two_theta | intensity |
| --- | --- | --- |
| 6.913 | 12.81 | 100 |
| 3.338 | 26.71 | 43 |
| 3.191 | 27.96 | 54 |
| 2.846 | 31.43 | 59 |
| 2.724 | 32.88 | 43 |
| 2.667 | 33.60 | 22 |
| 2.615 | 34.29 | 28 |
| 2.598 | 34.53 | 49 |
| 2.154 | 41.94 | 36 |
| 2.111 | 42.85 | 23 |
| 2.014 | 45.02 | 29 |
| 1.596 | 57.79 | 21 |

Atomic structure:
```
PuGeTe3Se
1.0
2.014 -8.943 0.000
2.014 8.943 0.000
0.000 0.000 10.897
Pu Ge Te Se
2 2 6 2
Direct
0.162 0.838 0.500 Pu
0.838 0.162 0.000 Pu
0.278 0.722 0.281 Ge
0.722 0.278 0.781 Ge
0.118 0.882 0.775 Te
0.396 0.604 0.790 Te
0.475 0.525 0.007 Te
0.525 0.475 0.507 Te
0.604 0.396 0.290 Te
0.882 0.118 0.275 Te
0.232 0.768 0.062 Se
0.768 0.232 0.562 Se
```

---

[11]
Structure and computed PXRD pattern of Pu4GeTe7 (a structure optimized by DFT (GGA-PBE); Cu Kα, 1.54184 Å).
Kinematic intensities with the Lorentz-polarization factor, no thermal factor.

Principal peaks in the range 2θ = 5–70°, low angle first:
| d (Å) | two_theta | intensity |
| --- | --- | --- |
| 8.234 | 10.74 | 14 |
| 6.176 | 14.34 | 10 |
| 3.238 | 27.54 | 100 |
| 2.794 | 32.04 | 16 |
| 2.587 | 34.68 | 9 |
| 2.397 | 37.52 | 30 |
| 2.196 | 41.11 | 41 |
| 2.071 | 43.71 | 20 |
| 1.817 | 50.20 | 20 |
| 1.619 | 56.87 | 9 |
| 1.400 | 66.82 | 17 |
| 1.375 | 68.18 | 15 |

Atomic structure:
```
Pu4GeTe7
1.0
3.802 -2.196 0.000
3.802 2.196 0.000
-0.019 0.000 24.703
Pu Ge Te
4 1 7
Direct
0.167 0.167 0.150 Pu
0.167 0.167 0.422 Pu
0.833 0.833 0.578 Pu
0.833 0.833 0.850 Pu
0.500 0.500 0.000 Ge
0.167 0.167 0.646 Te
0.167 0.167 0.930 Te
0.500 0.500 0.218 Te
0.500 0.500 0.500 Te
0.500 0.500 0.782 Te
0.833 0.833 0.070 Te
0.833 0.833 0.354 Te
```